No. 1
This entry pairs a crystal structure of Ca2Si4IrPt3 with its computed X-ray powder pattern. Radiation: copper Kα. Structure: a cell relaxed with PBE.
Kinematic intensities with the Lorentz-polarization factor, no thermal factor.

a b c (Å): 4.113 4.113 10.267
angles (deg): 90.00 90.00 90.00
Sites, in units of the cell vectors:
Ca 0.000 0.500 0.247
Ca 0.500 0.000 0.753
Si 0.000 0.000 0.000
Si 0.000 0.500 0.632
Si 0.500 0.000 0.368
Si 0.500 0.500 0.000
Ir 0.000 0.000 0.500
Pt 0.000 0.500 0.869
Pt 0.500 0.000 0.131
Pt 0.500 0.500 0.500

Peak list (6 most intense, 10 to 90 degrees two-theta, most intense first)
2θ 31.99, rel. 100; 2θ 35.48, rel. 78; 2θ 44.04, rel. 73; 2θ 47.23, rel. 72; 2θ 27.79, rel. 49; 2θ 26.04, rel. 47

***

No. 2
This entry pairs a crystal structure of CaPu4Ir4 with its computed X-ray powder pattern. Radiation: copper Kα. Structure: a cell relaxed with PBE.
Kinematic intensities with the Lorentz-polarization factor, no thermal factor.

a b c (Å): 8.996 8.996 5.519
angles (deg): 90.00 90.00 90.00
Sites, in units of the cell vectors:
Ca 0.250 0.250 0.250
Ca 0.750 0.750 0.750
Pu 0.075 0.650 0.179
Pu 0.150 0.925 0.679
Pu 0.350 0.575 0.679
Pu 0.425 0.850 0.179
Pu 0.575 0.150 0.821
Pu 0.650 0.425 0.321
Pu 0.850 0.075 0.321
Pu 0.925 0.350 0.821
Ir 0.051 0.616 0.674
Ir 0.116 0.949 0.174
Ir 0.384 0.551 0.174
Ir 0.449 0.884 0.674
Ir 0.551 0.116 0.326
Ir 0.616 0.449 0.826
Ir 0.884 0.051 0.826
Ir 0.949 0.384 0.326

Peak list (6 most intense, 10 to 90 degrees two-theta, most intense first)
2θ 31.45, rel. 100; 2θ 13.92, rel. 55; 2θ 33.98, rel. 41; 2θ 44.63, rel. 36; 2θ 45.07, rel. 35; 2θ 45.81, rel. 27

***

No. 3
This entry pairs a crystal structure of Ca2IrRh3 with its computed X-ray powder pattern. Radiation: copper Kα. Structure: a cell relaxed with PBE.
Kinematic intensities with the Lorentz-polarization factor, no thermal factor.

a b c (Å): 5.321 5.321 5.321
angles (deg): 60.85 60.85 60.85
Sites, in units of the cell vectors:
Ca 0.126 0.126 0.126
Ca 0.874 0.874 0.874
Ir 0.500 0.500 0.500
Rh 0.000 0.500 0.500
Rh 0.500 0.000 0.500
Rh 0.500 0.500 0.000

Peak list (6 most intense, 10 to 90 degrees two-theta, most intense first)
2θ 20.22, rel. 100; 2θ 39.42, rel. 84; 2θ 41.11, rel. 76; 2θ 39.80, rel. 40; 2θ 48.06, rel. 34; 2θ 41.86, rel. 24

***

No. 4
This entry pairs a crystal structure of CaSb2Ir2 with its computed X-ray powder pattern. Radiation: copper Kα. Structure: a cell relaxed with PBE.
Kinematic intensities with the Lorentz-polarization factor, no thermal factor.

a b c (Å): 9.949 4.341 10.796
angles (deg): 90.00 90.00 90.00
Sites, in units of the cell vectors:
Ca 0.243 0.250 0.123
Ca 0.257 0.750 0.623
Ca 0.743 0.250 0.377
Ca 0.757 0.750 0.877
Sb 0.041 0.750 0.326
Sb 0.159 0.750 0.910
Sb 0.341 0.250 0.410
Sb 0.459 0.250 0.826
Sb 0.541 0.750 0.174
Sb 0.659 0.750 0.590
Sb 0.841 0.250 0.090
Sb 0.959 0.250 0.674
Ir 0.015 0.250 0.907
Ir 0.087 0.250 0.458
Ir 0.413 0.750 0.958
Ir 0.485 0.750 0.407
Ir 0.515 0.250 0.593
Ir 0.587 0.250 0.042
Ir 0.913 0.750 0.542
Ir 0.985 0.750 0.093

Peak list (6 most intense, 10 to 90 degrees two-theta, most intense first)
2θ 17.83, rel. 100; 2θ 28.52, rel. 86; 2θ 16.42, rel. 73; 2θ 40.38, rel. 73; 2θ 41.61, rel. 64; 2θ 31.66, rel. 45

***

No. 5
This entry pairs a crystal structure of CaSbIr2 with its computed X-ray powder pattern. Radiation: copper Kα. Structure: a cell relaxed with PBE.
Kinematic intensities with the Lorentz-polarization factor, no thermal factor.

a b c (Å): 4.375 4.375 3.794
angles (deg): 90.00 90.00 90.00
Sites, in units of the cell vectors:
Ca 0.000 0.000 0.000
Sb 0.500 0.500 0.000
Ir 0.000 0.500 0.500
Ir 0.500 0.000 0.500

Peak list (6 most intense, 10 to 90 degrees two-theta, most intense first)
2θ 37.51, rel. 100; 2θ 41.27, rel. 38; 2θ 72.75, rel. 29; 2θ 65.09, rel. 23; 2θ 47.98, rel. 21; 2θ 28.86, rel. 15

***

No. 6
This entry pairs a crystal structure of CaSi3Ir4 with its computed X-ray powder pattern. Radiation: copper Kα. Structure: a cell relaxed with PBE.
Kinematic intensities with the Lorentz-polarization factor, no thermal factor.

a b c (Å): 4.056 4.056 7.867
angles (deg): 90.00 90.00 90.00
Sites, in units of the cell vectors:
Ca 0.000 0.000 0.000
Si 0.000 0.000 0.500
Si 0.500 0.500 0.159
Si 0.500 0.500 0.841
Ir 0.000 0.500 0.316
Ir 0.000 0.500 0.684
Ir 0.500 0.000 0.316
Ir 0.500 0.000 0.684

Peak list (6 most intense, 10 to 90 degrees two-theta, most intense first)
2θ 31.18, rel. 100; 2θ 46.95, rel. 96; 2θ 11.25, rel. 89; 2θ 38.86, rel. 88; 2θ 44.68, rel. 75; 2θ 22.60, rel. 60

***

No. 7
This entry pairs a crystal structure of Ca3Si3Ir with its computed X-ray powder pattern. Radiation: copper Kα. Structure: a cell relaxed with PBE.
Kinematic intensities with the Lorentz-polarization factor, no thermal factor.

a b c (Å): 5.737 5.737 13.182
angles (deg): 90.00 90.00 137.27
Sites, in units of the cell vectors:
Ca 0.016 0.984 0.750
Ca 0.273 0.727 0.103
Ca 0.273 0.727 0.397
Ca 0.727 0.273 0.603
Ca 0.727 0.273 0.897
Ca 0.984 0.016 0.250
Si 0.312 0.688 0.750
Si 0.439 0.561 0.588
Si 0.439 0.561 0.912
Si 0.561 0.439 0.088
Si 0.561 0.439 0.412
Si 0.688 0.312 0.250
Ir 0.000 0.000 0.000
Ir 0.000 0.000 0.500

Peak list (6 most intense, 10 to 90 degrees two-theta, most intense first)
2θ 13.43, rel. 100; 2θ 35.70, rel. 98; 2θ 43.25, rel. 81; 2θ 21.41, rel. 69; 2θ 16.59, rel. 67; 2θ 33.04, rel. 63

***

No. 8
This entry pairs a crystal structure of Ca2Si4Ir3 with its computed X-ray powder pattern. Radiation: copper Kα. Structure: a cell relaxed with PBE.
Kinematic intensities with the Lorentz-polarization factor, no thermal factor.

a b c (Å): 7.651 6.522 5.636
angles (deg): 77.62 56.37 46.01
Sites, in units of the cell vectors:
Ca 0.133 0.133 0.867
Ca 0.867 0.867 0.133
Si 0.161 0.527 0.473
Si 0.473 0.839 0.161
Si 0.527 0.161 0.839
Si 0.839 0.473 0.527
Ir 0.000 0.000 0.500
Ir 0.500 0.500 0.000
Ir 0.500 0.500 0.500

Peak list (6 most intense, 10 to 90 degrees two-theta, most intense first)
2θ 15.05, rel. 100; 2θ 40.08, rel. 48; 2θ 36.92, rel. 29; 2θ 48.53, rel. 24; 2θ 39.95, rel. 22; 2θ 19.73, rel. 21

***

No. 9
This entry pairs a crystal structure of CaSi2Ir4 with its computed X-ray powder pattern. Radiation: copper Kα. Structure: a cell relaxed with PBE.
Kinematic intensities with the Lorentz-polarization factor, no thermal factor.

a b c (Å): 7.632 7.632 3.854
angles (deg): 90.00 90.00 90.00
Sites, in units of the cell vectors:
Ca 0.000 0.000 0.000
Ca 0.500 0.500 0.500
Si 0.228 0.228 0.500
Si 0.272 0.728 0.000
Si 0.728 0.272 0.000
Si 0.772 0.772 0.500
Ir 0.075 0.663 0.500
Ir 0.163 0.425 0.000
Ir 0.337 0.925 0.500
Ir 0.425 0.163 0.000
Ir 0.575 0.837 0.000
Ir 0.663 0.075 0.500
Ir 0.837 0.575 0.000
Ir 0.925 0.337 0.500

Peak list (6 most intense, 10 to 90 degrees two-theta, most intense first)
2θ 16.43, rel. 100; 2θ 35.12, rel. 70; 2θ 40.82, rel. 69; 2θ 44.28, rel. 53; 2θ 37.26, rel. 35; 2θ 28.46, rel. 33

***

No. 10
This entry pairs a crystal structure of Ca3Si7Ir2 with its computed X-ray powder pattern. Radiation: copper Kα. Structure: a cell relaxed with PBE.
Kinematic intensities with the Lorentz-polarization factor, no thermal factor.

a b c (Å): 15.335 15.335 4.161
angles (deg): 90.00 90.00 164.35
Sites, in units of the cell vectors:
Ca 0.000 0.000 0.000
Ca 0.192 0.808 0.000
Ca 0.808 0.192 0.000
Si 0.113 0.887 0.500
Si 0.336 0.664 0.500
Si 0.387 0.613 0.000
Si 0.500 0.500 0.500
Si 0.613 0.387 0.000
Si 0.664 0.336 0.500
Si 0.887 0.113 0.500
Ir 0.426 0.574 0.500
Ir 0.574 0.426 0.500

Peak list (6 most intense, 10 to 90 degrees two-theta, most intense first)
2θ 30.48, rel. 100; 2θ 21.49, rel. 85; 2θ 25.89, rel. 56; 2θ 27.75, rel. 56; 2θ 49.80, rel. 51; 2θ 11.65, rel. 51

***

No. 11
This entry pairs a crystal structure of Ca3Si3Ir2 with its computed X-ray powder pattern. Radiation: copper Kα. Structure: a cell relaxed with PBE.
Kinematic intensities with the Lorentz-polarization factor, no thermal factor.

a b c (Å): 7.995 14.092 5.856
angles (deg): 90.00 90.00 90.00
Sites, in units of the cell vectors:
Ca 0.046 0.114 0.123
Ca 0.046 0.386 0.123
Ca 0.194 0.250 0.618
Ca 0.306 0.750 0.118
Ca 0.454 0.614 0.623
Ca 0.454 0.886 0.623
Ca 0.546 0.114 0.377
Ca 0.546 0.386 0.377
Ca 0.694 0.250 0.882
Ca 0.806 0.750 0.382
Ca 0.954 0.614 0.877
Ca 0.954 0.886 0.877
Si 0.149 0.750 0.572
Si 0.184 0.042 0.643
Si 0.184 0.458 0.643
Si 0.316 0.542 0.143
Si 0.316 0.958 0.143
Si 0.351 0.250 0.072
Si 0.649 0.750 0.928
Si 0.684 0.042 0.857
Si 0.684 0.458 0.857
Si 0.816 0.542 0.357
Si 0.816 0.958 0.357
Si 0.851 0.250 0.428
Ir 0.103 0.587 0.398
Ir 0.103 0.913 0.398
Ir 0.397 0.087 0.898
Ir 0.397 0.413 0.898
Ir 0.603 0.587 0.102
Ir 0.603 0.913 0.102
Ir 0.897 0.087 0.602
Ir 0.897 0.413 0.602

Peak list (6 most intense, 10 to 90 degrees two-theta, most intense first)
2θ 18.78, rel. 100; 2θ 37.92, rel. 95; 2θ 12.56, rel. 66; 2θ 29.34, rel. 57; 2θ 26.76, rel. 56; 2θ 41.92, rel. 49

***

No. 12
This entry pairs a crystal structure of Ca2Si7Ir12 with its computed X-ray powder pattern. Radiation: copper Kα. Structure: a cell relaxed with PBE.
Kinematic intensities with the Lorentz-polarization factor, no thermal factor.

a b c (Å): 9.702 9.702 3.923
angles (deg): 90.00 90.00 120.00
Sites, in units of the cell vectors:
Ca 0.000 0.000 0.000
Ca 0.333 0.667 0.500
Si 0.078 0.452 0.000
Si 0.263 0.218 0.500
Si 0.373 0.922 0.000
Si 0.548 0.627 0.000
Si 0.667 0.333 0.000
Si 0.782 0.045 0.500
Si 0.955 0.737 0.500
Ir 0.054 0.281 0.500
Ir 0.103 0.707 0.000
Ir 0.227 0.946 0.500
Ir 0.293 0.395 0.000
Ir 0.393 0.176 0.000
Ir 0.537 0.430 0.500
Ir 0.570 0.107 0.500
Ir 0.605 0.897 0.000
Ir 0.719 0.773 0.500
Ir 0.783 0.607 0.000
Ir 0.824 0.217 0.000
Ir 0.893 0.463 0.500

Peak list (6 most intense, 10 to 90 degrees two-theta, most intense first)
2θ 36.40, rel. 100; 2θ 45.26, rel. 28; 2θ 47.15, rel. 24; 2θ 18.29, rel. 22; 2θ 46.29, rel. 20; 2θ 28.10, rel. 19

***

What is the formula in the tenth record?
Ca3Si7Ir2

***

What did the seventh record say?
This entry pairs a crystal structure of Ca3Si3Ir with its computed X-ray powder pattern. Radiation: copper Kα. Structure: a cell relaxed with PBE.
Kinematic intensities with the Lorentz-polarization factor, no thermal factor.

a b c (Å): 5.737 5.737 13.182
angles (deg): 90.00 90.00 137.27
Sites, in units of the cell vectors:
Ca 0.016 0.984 0.750
Ca 0.273 0.727 0.103
Ca 0.273 0.727 0.397
Ca 0.727 0.273 0.603
Ca 0.727 0.273 0.897
Ca 0.984 0.016 0.250
Si 0.312 0.688 0.750
Si 0.439 0.561 0.588
Si 0.439 0.561 0.912
Si 0.561 0.439 0.088
Si 0.561 0.439 0.412
Si 0.688 0.312 0.250
Ir 0.000 0.000 0.000
Ir 0.000 0.000 0.500

Peak list (6 most intense, 10 to 90 degrees two-theta, most intense first)
2θ 13.43, rel. 100; 2θ 35.70, rel. 98; 2θ 43.25, rel. 81; 2θ 21.41, rel. 69; 2θ 16.59, rel. 67; 2θ 33.04, rel. 63

***

What did the fourth record say?
This entry pairs a crystal structure of CaSb2Ir2 with its computed X-ray powder pattern. Radiation: copper Kα. Structure: a cell relaxed with PBE.
Kinematic intensities with the Lorentz-polarization factor, no thermal factor.

a b c (Å): 9.949 4.341 10.796
angles (deg): 90.00 90.00 90.00
Sites, in units of the cell vectors:
Ca 0.243 0.250 0.123
Ca 0.257 0.750 0.623
Ca 0.743 0.250 0.377
Ca 0.757 0.750 0.877
Sb 0.041 0.750 0.326
Sb 0.159 0.750 0.910
Sb 0.341 0.250 0.410
Sb 0.459 0.250 0.826
Sb 0.541 0.750 0.174
Sb 0.659 0.750 0.590
Sb 0.841 0.250 0.090
Sb 0.959 0.250 0.674
Ir 0.015 0.250 0.907
Ir 0.087 0.250 0.458
Ir 0.413 0.750 0.958
Ir 0.485 0.750 0.407
Ir 0.515 0.250 0.593
Ir 0.587 0.250 0.042
Ir 0.913 0.750 0.542
Ir 0.985 0.750 0.093

Peak list (6 most intense, 10 to 90 degrees two-theta, most intense first)
2θ 17.83, rel. 100; 2θ 28.52, rel. 86; 2θ 16.42, rel. 73; 2θ 40.38, rel. 73; 2θ 41.61, rel. 64; 2θ 31.66, rel. 45